Structure and computed X-ray powder pattern of La2NiSn4Rh3 (a DFT-relaxed cell (GGA-PBE, Alexandria); Cu Kα).
No peak broadening, texture or thermal motion is included.

Top 10 peaks for 10 to 80 degrees two-theta, by angle:
two_theta	Rel. int.
27.32	9.3
32.37	100.0
39.02	47.9
44.61	17.9
48.06	13.4
51.55	23.4
56.36	16.4
60.58	9.7
63.56	11.6
66.52	19.6

Structural model:
```
data_La2NiSn4Rh3
_cell_length_a 4.6172
_cell_length_b 4.6172
_cell_length_c 10.3782
_cell_angle_alpha 90.00
_cell_angle_beta 90.00
_cell_angle_gamma 90.00
_symmetry_space_group_name_H-M 'P -4 m 2'
_symmetry_Int_Tables_number 115
loop_
_symmetry_equiv_pos_as_xyz
'x,y,z'
'y,-x,-z'
'-x,-y,z'
'-y,x,-z'
'-x,y,z'
'-y,-x,-z'
'x,-y,z'
'y,x,-z'
loop_
_atom_site_label
_atom_site_fract_x
_atom_site_fract_y
_atom_site_fract_z
La1 0.0000 0.5000 0.2430
Ni1 0.5000 0.5000 0.0000
Sn1 0.0000 0.0000 0.5000
Sn2 0.0000 0.5000 0.8809
Sn3 0.5000 0.5000 0.5000
Rh1 0.0000 0.0000 0.0000
Rh2 0.0000 0.5000 0.6302
```


Structure and computed X-ray powder pattern of LaTbNiRh (a DFT-relaxed cell (GGA-PBE, Alexandria); Cu Kα).
No peak broadening, texture or thermal motion is included.

Top 10 peaks for 10 to 80 degrees two-theta, by angle:
two_theta	Rel. int.
26.95	16.2
32.41	100.0
33.02	31.3
33.72	30.1
39.62	18.1
40.22	56.7
43.36	24.4
46.33	20.1
56.03	14.1
65.32	14.1

Structural model:
```
data_LaTbNiRh
_cell_length_a 4.1732
_cell_length_b 3.9193
_cell_length_c 10.8522
_cell_angle_alpha 90.00
_cell_angle_beta 90.00
_cell_angle_gamma 90.00
_symmetry_space_group_name_H-M 'A m m 2'
_symmetry_Int_Tables_number 38
loop_
_symmetry_equiv_pos_as_xyz
'x,y,z'
'-x,-y,z'
'-x,y,z'
'x,-y,z'
'x,y+1/2,z+1/2'
'-x,-y+1/2,z+1/2'
'-x,y+1/2,z+1/2'
'x,-y+1/2,z+1/2'
loop_
_atom_site_label
_atom_site_fract_x
_atom_site_fract_y
_atom_site_fract_z
La1 0.0000 0.0000 0.0000
Tb1 0.5000 0.0000 0.7219
Ni1 0.5000 0.0000 0.4357
Rh1 0.0000 0.0000 0.2725
```